For RbV2I3O13, a structure optimized by DFT (PBE+U) gives the theoretical X-ray diffraction stick pattern in this record (CuKα).
Lines closer than 0.1° are merged.

Most intense lines, 2θ = 10–90°, in order of rising 2θ:
2θ (°), I (rel.)
16.8, 39.7
21.0, 29.8
24.3, 30.7
25.3, 47.7
27.7, 100.0
29.0, 24.8
30.6, 51.4
37.9, 28.5
48.6, 48.7
60.0, 22.6

Crystal structure
Cell: 9.6833 9.6833 9.6833 Å, 87.11 113.80 130.30°
Fractional coordinates of all 38 atoms:
Rb  0.1091  0.2500  0.3591
Rb  0.8909  0.7500  0.6409
V  0.4631  0.1088  0.6115
V  0.4631  0.3516  0.8543
V  0.4973  0.6088  0.1457
V  0.4973  0.8516  0.3885
I  0.0058  0.2415  0.7470
I  0.0058  0.7588  0.2643
I  0.4945  0.2588  0.2530
I  0.4945  0.7415  0.7357
I  0.4997  0.9740  0.0257
I  0.9483  0.4740  0.9743
O  0.0922  0.6810  0.9113
O  0.1010  0.4078  0.6368
O  0.1010  0.9641  0.1931
O  0.1531  0.4027  0.9482
O  0.1531  0.7048  0.2504
O  0.1639  0.1786  0.7812
O  0.1639  0.8827  0.4854
O  0.3850  0.6496  0.2354
O  0.3974  0.3827  0.2188
O  0.3974  0.6786  0.5146
O  0.4142  0.1496  0.7646
O  0.4544  0.2048  0.0518
O  0.4544  0.9027  0.7496
O  0.4728  0.2593  0.5162
O  0.4728  0.4566  0.7136
O  0.5227  0.7943  0.0258
O  0.5227  0.9968  0.2283
O  0.5236  0.0236  0.5000
O  0.5236  0.5236  0.0000
O  0.7431  0.7593  0.2864
O  0.7431  0.9566  0.4838
O  0.7685  0.2943  0.7717
O  0.7685  0.4968  0.9742
O  0.7697  0.1810  0.0887
O  0.7710  0.4641  0.3632
O  0.7710  0.9078  0.8069